Structure and theoretical X-ray diffraction stick pattern of Ca15NiIr4O24 (DFT lattice parameters and positions (GGA+U); Cu Kα (weighted mean of Kα1 and Kα2)).

The 10 most intense peaks (2θ from 10° to 90°), by intensity:
two_theta	d_spacing	I (rel.)	(hkl)
18.91	4.693	100	0 2 0
33.06	2.709	75	2 0 -4
19.24	4.614	74	2 0 0
43.73	2.070	53	4 2 0
39.05	2.307	32	4 0 0
43.26	2.091	26	2 4 0
59.55	1.552	23	0 2 8
27.10	3.290	21	0 0 4
33.84	2.649	20	3 1 2
52.07	1.756	20	2 4 4

Structure:
```
data_Ca15NiIr4O24
_chemical_formula_sum 'Ca30 Ni2 Ir8 O48'
_space_group_name_H-M_alt 'C 1 2 1'
_space_group_IT_number 5
_cell_length_a 9.230
_cell_length_b 9.391
_cell_length_c 13.157
_cell_angle_alpha 90.00
_cell_angle_beta 91.34
_cell_angle_gamma 90.00
loop_
_space_group_symop_operation_xyz
'x,y,z'
'-x,y,-z'
'x+1/2,y+1/2,z'
'-x+1/2,y+1/2,-z'
loop_
_atom_site_label
_atom_site_type_symbol
_atom_site_fract_x
_atom_site_fract_y
_atom_site_fract_z
Ca1 Ca 0.000 0.000 0.000
Ca2 Ca 0.000 0.005 0.500
Ca3 Ca 0.000 0.644 0.500
Ca4 Ca 0.002 0.145 0.750
Ca5 Ca 0.002 0.782 0.755
Ca6 Ca 0.177 0.469 0.823
Ca7 Ca 0.180 0.327 0.067
Ca8 Ca 0.182 0.325 0.571
Ca9 Ca 0.182 0.463 0.320
Ni1 Ni 0.000 0.645 0.000
Ir1 Ir 0.248 0.646 0.123
Ir2 Ir 0.250 0.144 0.374
O1 O 0.059 0.538 0.139
O2 O 0.064 0.533 0.656
O3 O 0.065 0.256 0.403
O4 O 0.066 0.258 0.902
O5 O 0.121 0.814 0.083
O6 O 0.129 0.968 0.338
O7 O 0.130 0.820 0.589
O8 O 0.131 0.970 0.840
O9 O 0.232 0.586 0.975
O10 O 0.239 0.211 0.227
O11 O 0.241 0.578 0.477
O12 O 0.245 0.206 0.727
```